Entry 1:
This entry pairs a crystal structure of USCl9 with its calculated powder diffraction line list. Radiation: Cu Kα (λ = 1.5418 Å). Structure: a DFT-relaxed cell (PBE, OQMD).

The 10 most intense peaks (2θ from 5° to 70°), low angle first:
(hkl)  2θ (°)  Rel. int.
1 0 1  11.4  22
1 1 1  14.1  100
0 0 2  15.6  42
0 2 0  16.6  62
2 1 0  18.6  47
0 2 2  22.9  46
2 1 2  24.4  39
0 3 2  29.6  22
3 0 3  34.6  29
3 2 3  38.6  21

Structural model:
```
data_USCl9
_symmetry_space_group_name_H-M 'P 21 21 21'
_symmetry_Int_Tables_number 19
_cell_length_a 10.678
_cell_length_b 10.684
_cell_length_c 11.338
_cell_angle_alpha 90.00
_cell_angle_beta 90.00
_cell_angle_gamma 90.00
loop_
_symmetry_equiv_pos_as_xyz
'x,y,z'
'-x+1/2,-y,z+1/2'
'x+1/2,-y+1/2,-z'
'-x,y+1/2,-z+1/2'
loop_
_atom_site_label
_atom_site_type_symbol
_atom_site_fract_x
_atom_site_fract_y
_atom_site_fract_z
U1 U 0.176 0.223 0.231
S1 S 0.206 0.323 0.663
Cl1 Cl 0.022 0.768 0.150
Cl2 Cl 0.049 0.107 0.081
Cl3 Cl 0.052 0.426 0.631
Cl4 Cl 0.129 0.821 0.612
Cl5 Cl 0.142 0.426 0.116
Cl6 Cl 0.148 0.149 0.625
Cl7 Cl 0.200 0.656 0.885
Cl8 Cl 0.213 0.026 0.348
Cl9 Cl 0.216 0.323 0.839
```


Entry 2:
This entry pairs a crystal structure of Ta13W2 with its calculated powder diffraction line list. Radiation: Cu Kα (λ = 1.5418 Å). Structure: a DFT-relaxed cell (PBE, OQMD).

The 10 most intense peaks (2θ from 5° to 70°), low angle first:
(hkl)  2θ (°)  Rel. int.
0 0 2  33.7  21
4 1 0  36.5  80
3 3 0  37.6  38
2 0 2  38.2  32
2 1 2  39.3  68
4 1 1  40.4  100
3 3 1  41.4  48
5 3 2  63.9  21
5 5 0  64.8  32
7 2 0  67.1  18

Structural model:
```
data_Ta13W2
_symmetry_space_group_name_H-M 'P 42/m n m'
_symmetry_Int_Tables_number 136
_symmetry_space_group_name_Hall '-P 4n 2n'
_cell_length_a 10.158
_cell_length_b 10.158
_cell_length_c 5.313
_cell_angle_alpha 90.00
_cell_angle_beta 90.00
_cell_angle_gamma 90.00
loop_
_atom_site_label
_atom_site_type_symbol
_atom_site_fract_x
_atom_site_fract_y
_atom_site_fract_z
Ta1 Ta 0.000 0.000 0.000
Ta2 Ta 0.036 0.368 0.500
Ta3 Ta 0.066 0.261 0.000
Ta4 Ta 0.181 0.819 0.252
W1 W 0.103 0.103 0.500
```


Entry 3:
This entry pairs a crystal structure of KH12AuI4 with its calculated powder diffraction line list. Radiation: Cu Kα (λ = 1.5418 Å). Structure: a DFT-relaxed cell (PBE, OQMD).

The 10 most intense peaks (2θ from 5° to 70°), low angle first:
(hkl)  2θ (°)  Rel. int.
0 0 2  20.8  58
1 0 1  21.0  100
0 1 -2  21.1  51
1 1 0  22.8  58
1 0 -2  24.5  36
1 -2 0  25.7  89
1 1 -2  26.7  36
0 2 -2  27.5  42
-1 1 2  27.9  39
0 2 1  28.6  53

Structural model:
```
data_KH12AuI4
_symmetry_space_group_name_H-M 'P 1'
_symmetry_Int_Tables_number 1
_cell_length_a 5.536
_cell_length_b 7.839
_cell_length_c 8.905
_cell_angle_alpha 103.14
_cell_angle_beta 96.09
_cell_angle_gamma 102.23
loop_
_symmetry_equiv_pos_as_xyz
'x,y,z'
loop_
_atom_site_label
_atom_site_type_symbol
_atom_site_fract_x
_atom_site_fract_y
_atom_site_fract_z
K1 K 0.000 0.000 0.000
H1 H 0.065 0.151 0.381
H2 H 0.107 0.943 0.612
H3 H 0.183 0.351 0.198
H4 H 0.235 0.974 0.663
H5 H 0.452 0.013 0.219
H6 H 0.459 0.522 0.882
H7 H 0.462 0.089 0.178
H8 H 0.603 0.794 0.421
H9 H 0.835 0.540 0.616
H10 H 0.848 0.454 0.095
H11 H 0.958 0.186 0.432
H12 H 0.996 0.810 0.247
Au1 Au 0.829 0.938 0.384
I1 I 0.130 0.579 0.231
I2 I 0.393 0.712 0.835
I3 I 0.578 0.277 0.919
I4 I 0.605 0.407 0.482
```


Entry 4:
This entry pairs a crystal structure of TlSnW4N2 with its calculated powder diffraction line list. Radiation: Cu Kα (λ = 1.5418 Å). Structure: a DFT-relaxed cell (PBE, OQMD).

The 10 most intense peaks (2θ from 5° to 70°), low angle first:
(hkl)  2θ (°)  Rel. int.
0 0 1  5.9  6
0 0 5  29.7  1
1 0 0  34.7  21
0 0 6  35.8  26
1 0 2  36.7  1
1 0 3  39.2  100
1 0 6  50.7  17
1 0 8  60.9  1
1 1 0  62.1  18
1 0 9  66.6  20

Structural model:
```
data_TlSnW4N2
_symmetry_space_group_name_H-M 'P -6 m 2'
_symmetry_Int_Tables_number 187
_symmetry_space_group_name_Hall 'P -6 2'
_cell_length_a 2.9883
_cell_length_b 2.9883
_cell_length_c 15.0519
_cell_angle_alpha 90.00
_cell_angle_beta 90.00
_cell_angle_gamma 120.00
loop_
_atom_site_label
_atom_site_type_symbol
_atom_site_fract_x
_atom_site_fract_y
_atom_site_fract_z
Tl1 Tl 0.0000 0.0000 0.0000
Sn1 Sn 0.3333 0.6667 0.5000
W1 W 0.0000 0.0000 0.3427
W2 W 0.3333 0.6667 0.1650
N1 N 0.6667 0.3333 0.2537
```


Entry 5:
This entry pairs a crystal structure of Ho3HfPb2C2 with its calculated powder diffraction line list. Radiation: Cu Kα (λ = 1.5418 Å). Structure: a DFT-relaxed cell (PBE, OQMD).

The 10 most intense peaks (2θ from 5° to 70°), low angle first:
(hkl)  2θ (°)  Rel. int.
0 0 1  5.6  1
1 0 0  29.2  23
0 1 3  33.9  100
0 0 6  34.2  20
1 0 6  45.5  15
1 1 0  51.7  21
2 0 0  60.4  3
0 1 9  61.0  17
2 0 3  63.2  17
1 1 6  63.4  21

Structural model:
```
data_Ho3HfPb2C2
_symmetry_space_group_name_H-M 'P 3 m 1'
_symmetry_Int_Tables_number 156
_cell_length_a 3.5372
_cell_length_b 3.5372
_cell_length_c 15.7412
_cell_angle_alpha 90.00
_cell_angle_beta 90.00
_cell_angle_gamma 120.00
loop_
_symmetry_equiv_pos_as_xyz
'x,y,z'
'-y,x-y,z'
'-x+y,-x,z'
'-y,-x,z'
'-x+y,y,z'
'x,x-y,z'
loop_
_atom_site_label
_atom_site_type_symbol
_atom_site_fract_x
_atom_site_fract_y
_atom_site_fract_z
Ho1 Ho 0.0000 0.0000 0.0000
Ho2 Ho 0.0000 0.0000 0.3406
Ho3 Ho 0.6667 0.3333 0.8309
Hf1 Hf 0.6667 0.3333 0.5005
Pb1 Pb 0.0000 0.0000 0.6587
Pb2 Pb 0.6667 0.3333 0.1718
C1 C 0.3333 0.6667 0.4322
C2 C 0.3333 0.6667 0.9150
```


Entry 6:
This entry pairs a crystal structure of Li15Au4 with its calculated powder diffraction line list. Radiation: Cu Kα (λ = 1.5418 Å). Structure: a DFT-relaxed cell (PBE, OQMD).

The 10 most intense peaks (2θ from 5° to 70°), low angle first:
(hkl)  2θ (°)  Rel. int.
2 1 1  20.5  36
2 2 0  23.7  100
3 1 0  26.6  56
3 2 1  31.6  24
3 3 2  39.9  31
4 2 2  41.7  17
5 1 0  43.5  51
5 2 1  46.9  32
5 4 1  56.2  15
7 2 1  64.6  19

Structural model:
```
data_Li15Au4
_symmetry_space_group_name_H-M 'I -4 3 d'
_symmetry_Int_Tables_number 220
_symmetry_space_group_name_Hall 'I -4bd 2c 3'
_cell_length_a 10.603
_cell_length_b 10.603
_cell_length_c 10.603
_cell_angle_alpha 90.00
_cell_angle_beta 90.00
_cell_angle_gamma 90.00
loop_
_atom_site_label
_atom_site_type_symbol
_atom_site_fract_x
_atom_site_fract_y
_atom_site_fract_z
Li1 Li 0.000 0.250 0.875
Li2 Li 0.038 0.117 0.659
Au1 Au 0.044 0.044 0.044
```


Entry 7:
This entry pairs a crystal structure of PmHoPt with its calculated powder diffraction line list. Radiation: Cu Kα (λ = 1.5418 Å). Structure: a DFT-relaxed cell (PBE, OQMD).

The 10 most intense peaks (2θ from 5° to 70°), low angle first:
(hkl)  2θ (°)  Rel. int.
0 0 1  14.2  44
1 0 1  26.9  54
0 0 2  28.7  68
1 1 0  32.4  100
1 1 1  35.5  19
1 1 2  43.8  88
2 0 0  46.5  37
2 1 1  54.5  16
2 0 2  55.5  44
1 1 4  69.3  23

Structural model:
```
data_PmHoPt
_symmetry_space_group_name_H-M 'P 4/m m m'
_symmetry_Int_Tables_number 123
_symmetry_space_group_name_Hall '-P 4 2'
_cell_length_a 3.909
_cell_length_b 3.909
_cell_length_c 6.221
_cell_angle_alpha 90.00
_cell_angle_beta 90.00
_cell_angle_gamma 90.00
loop_
_atom_site_label
_atom_site_type_symbol
_atom_site_fract_x
_atom_site_fract_y
_atom_site_fract_z
Pm1 Pm 0.000 0.000 0.000
Ho1 Ho 0.000 0.000 0.500
Pt1 Pt 0.500 0.500 0.000
```


Entry 8:
This entry pairs a crystal structure of Sm3Dy2ErCoTe2 with its calculated powder diffraction line list. Radiation: Cu Kα (λ = 1.5418 Å). Structure: a DFT-relaxed cell (PBE, OQMD).

The 10 most intense peaks (2θ from 5° to 70°), low angle first:
(hkl)  2θ (°)  Rel. int.
1 3 1  30.9  100
0 4 2  32.5  80
1 2 2  33.3  69
0 6 0  37.0  25
1 4 2  39.8  34
2 0 0  45.6  21
1 2 4  50.6  22
2 4 2  57.1  33
1 7 3  60.0  26
1 3 5  62.9  18

Structural model:
```
data_Sm3Dy2ErCoTe2
_symmetry_space_group_name_H-M 'A m m 2'
_symmetry_Int_Tables_number 38
_cell_length_a 3.981
_cell_length_b 14.587
_cell_length_c 8.423
_cell_angle_alpha 90.00
_cell_angle_beta 90.00
_cell_angle_gamma 90.00
loop_
_symmetry_equiv_pos_as_xyz
'x,y,z'
'-x,-y,z'
'-x,y,z'
'x,-y,z'
'x,y+1/2,z+1/2'
'-x,-y+1/2,z+1/2'
'-x,y+1/2,z+1/2'
'x,-y+1/2,z+1/2'
loop_
_atom_site_label
_atom_site_type_symbol
_atom_site_fract_x
_atom_site_fract_y
_atom_site_fract_z
Sm1 Sm 0.000 0.000 0.000
Sm2 Sm 0.000 0.202 0.395
Dy1 Dy 0.500 0.116 0.712
Er1 Er 0.500 0.000 0.365
Co1 Co 0.000 0.000 0.595
Te1 Te 0.500 0.166 0.096
```


Entry 9:
This entry pairs a crystal structure of Cs3TbSi4O10F2 with its calculated powder diffraction line list. Radiation: Cu Kα (λ = 1.5418 Å). Structure: a DFT-relaxed cell (PBE, OQMD).

The 10 most intense peaks (2θ from 5° to 70°), low angle first:
(hkl)  2θ (°)  Rel. int.
0 0 2  11.1  16
1 -2 0  25.4  100
1 -1 4  25.9  83
0 1 4  28.1  29
-1 2 2  28.8  28
-2 1 3  30.5  13
1 1 -4  32.1  18
2 0 4  38.2  27
3 -3 0  44.7  21
4 -2 0  52.1  13

Structural model:
```
data_Cs3TbSi4O10F2
_symmetry_space_group_name_H-M 'P -1'
_symmetry_Int_Tables_number 2
_cell_length_a 7.023
_cell_length_b 7.053
_cell_length_c 16.097
_cell_angle_alpha 95.83
_cell_angle_beta 90.11
_cell_angle_gamma 119.77
loop_
_symmetry_equiv_pos_as_xyz
'x,y,z'
'-x,-y,-z'
loop_
_atom_site_label
_atom_site_type_symbol
_atom_site_fract_x
_atom_site_fract_y
_atom_site_fract_z
Cs1 Cs 0.125 0.264 0.181
Cs2 Cs 0.154 0.315 0.449
Cs3 Cs 0.185 0.356 0.919
Tb1 Tb 0.500 0.000 0.000
Tb2 Tb 0.500 0.000 0.500
Si1 Si 0.077 0.798 0.323
Si2 Si 0.287 0.668 0.675
Si3 Si 0.384 0.301 0.666
Si4 Si 0.446 0.899 0.212
O1 O 0.035 0.474 0.694
O2 O 0.126 0.149 0.690
O3 O 0.203 0.897 0.412
O4 O 0.219 0.898 0.241
O5 O 0.294 0.746 0.586
O6 O 0.345 0.856 0.755
O7 O 0.425 0.246 0.572
O8 O 0.438 0.830 0.115
O9 O 0.449 0.563 0.686
O10 O 0.460 0.718 0.264
F1 F 0.155 0.760 0.956
F2 F 0.392 0.231 0.053
```


Entry 10:
This entry pairs a crystal structure of K2Os2Pb2O7 with its calculated powder diffraction line list. Radiation: Cu Kα (λ = 1.5418 Å). Structure: a DFT-relaxed cell (PBE, OQMD).

The 10 most intense peaks (2θ from 5° to 70°), low angle first:
(hkl)  2θ (°)  Rel. int.
1 0 0  17.2  13
0 1 1  21.5  49
1 1 0  30.1  100
0 1 2  31.0  79
1 0 3  42.7  14
2 0 2  43.7  32
3 -2 1  48.6  12
3 0 0  53.5  22
3 -2 2  54.0  36
2 2 0  62.6  15

Structural model:
```
data_K2Os2Pb2O7
_symmetry_space_group_name_H-M 'P -3'
_symmetry_Int_Tables_number 147
_cell_length_a 5.9380
_cell_length_b 5.9380
_cell_length_c 6.9771
_cell_angle_alpha 90.00
_cell_angle_beta 90.00
_cell_angle_gamma 120.00
loop_
_symmetry_equiv_pos_as_xyz
'x,y,z'
'-x,-y,-z'
'-y,x-y,z'
'y,-x+y,-z'
'-x+y,-x,z'
'x-y,x,-z'
loop_
_atom_site_label
_atom_site_type_symbol
_atom_site_fract_x
_atom_site_fract_y
_atom_site_fract_z
K1 K 0.3333 0.6667 0.4069
Os1 Os 0.0000 0.0000 0.2962
Pb1 Pb 0.3333 0.6667 0.9314
O1 O 0.0000 0.0000 0.0000
O2 O 0.1222 0.7699 0.6971
```


Entry 11:
This entry pairs a crystal structure of PmPaPO with its calculated powder diffraction line list. Radiation: Cu Kα (λ = 1.5418 Å). Structure: a DFT-relaxed cell (PBE, OQMD).

The 10 most intense peaks (2θ from 5° to 70°), low angle first:
(hkl)  2θ (°)  Rel. int.
0 1 0  11.2  46
1 1 0  24.2  75
0 2 1  27.2  68
1 1 1  28.7  100
0 0 2  30.4  59
0 3 1  37.4  34
1 1 2  39.3  40
1 3 0  40.5  26
0 2 3  52.1  37
2 3 1  58.8  27

Structural model:
```
data_PmPaPO
_symmetry_space_group_name_H-M 'P m c 21'
_symmetry_Int_Tables_number 26
_cell_length_a 4.147
_cell_length_b 7.914
_cell_length_c 5.877
_cell_angle_alpha 90.00
_cell_angle_beta 90.00
_cell_angle_gamma 90.00
loop_
_symmetry_equiv_pos_as_xyz
'x,y,z'
'-x,-y,z+1/2'
'-x,y,z'
'x,-y,z+1/2'
loop_
_atom_site_label
_atom_site_type_symbol
_atom_site_fract_x
_atom_site_fract_y
_atom_site_fract_z
Pm1 Pm 0.000 0.199 0.000
Pa1 Pa 0.500 0.388 0.526
P1 P 0.000 0.157 0.502
O1 O 0.500 0.327 0.925
```